Record 1
This entry pairs a crystal structure of TcNi5Rh4 with its calculated XRD peak list. Radiation: Cu Kα. Structure: a structure optimized by DFT (PBE).
Lines closer than 0.1° are merged.

Structural model:
Cell: 13.445 3.735 5.180 Å, 90.00 102.47 90.00°
Space group C2/m (No. 12)
One atom of each set of equivalent atoms:
1 Tc 0.000 0.000 0.000
2 Ni 0.000 0.000 0.500
3 Ni 0.098 0.500 0.803
4 Ni 0.201 0.000 0.603
5 Rh 0.098 0.500 0.309
6 Rh 0.200 0.000 0.102

Top 12 peaks for 10° ≤ 2θ ≤ 90°, sorted by position:
2θ 42.07, 2.148 Å, I 100, hkl 5 1 0
2θ 42.48, 2.128 Å, I 97, hkl 1 1 -2
2θ 48.78, 1.867 Å, I 64, hkl 0 2 0
2θ 50.07, 1.822 Å, I 30, hkl 4 0 2
2θ 71.47, 1.320 Å, I 19, hkl 6 2 -2
2θ 72.47, 1.304 Å, I 19, hkl 4 2 2
2θ 86.30, 1.127 Å, I 11, hkl 11 1 -2
2θ 86.51, 1.125 Å, I 12, hkl 5 3 0
2θ 86.79, 1.122 Å, I 12, hkl 1 3 -2
2θ 87.14, 1.118 Å, I 11, hkl 7 1 -4
2θ 88.22, 1.108 Å, I 11, hkl 9 1 2
2θ 89.06, 1.099 Å, I 11, hkl 3 1 4

***

Record 2
This entry pairs a crystal structure of La2In6IrRu with its calculated XRD peak list. Radiation: Cu Kα. Structure: a structure optimized by DFT (PBE).
Lines closer than 0.1° are merged.

Structural model:
Cell: 7.2672 7.2672 17.7406 Å, 90.00 90.00 120.00°
Space group R-3m (No. 166, hexagonal axes)
One atom of each set of equivalent atoms:
1 La 0.0000 0.0000 0.2500
2 In 0.0014 0.5007 0.2496
3 Ir 0.0000 0.0000 0.0000
4 Ru 0.0000 0.0000 0.5000

Top 12 peaks for 10° ≤ 2θ ≤ 90°, sorted by position:
2θ 17.28, 5.133 Å, I 23, hkl 0 1 2
2θ 24.53, 3.629 Å, I 34, hkl 1 1 0
2θ 30.16, 2.963 Å, I 58, hkl 2 0 2
2θ 34.96, 2.566 Å, I 100, hkl 0 2 4
2θ 39.25, 2.295 Å, I 12, hkl 1 2 2
2θ 43.14, 2.097 Å, I 12, hkl 3 0 0
2θ 50.22, 1.817 Å, I 35, hkl 2 2 0
2θ 50.34, 1.813 Å, I 35, hkl 2 0 8
2θ 59.72, 1.548 Å, I 18, hkl 2 2 6
2θ 62.65, 1.483 Å, I 18, hkl 4 0 4
2θ 84.30, 1.149 Å, I 16, hkl 2 4 4
2θ 84.49, 1.147 Å, I 16, hkl 2 2 12

***

Record 3
This entry pairs a crystal structure of ScZn23Pd6 with its calculated XRD peak list. Radiation: Cu Kα. Structure: a structure optimized by DFT (PBE).
Lines closer than 0.1° are merged.

Structural model:
Cell: 12.165 12.165 12.165 Å, 90.00 90.00 90.00°
Space group Fm-3m (No. 225)
One atom of each set of equivalent atoms:
1 Sc 0.000 0.000 0.000
2 Zn 0.000 0.000 0.500
3 Zn 0.000 0.250 0.250
4 Zn 0.126 0.126 0.374
5 Zn 0.144 0.144 0.144
6 Pd 0.000 0.000 0.238

Top 12 peaks for 10° ≤ 2θ ≤ 90°, sorted by position:
2θ 20.65, 4.301 Å, I 6, hkl 2 2 0
2θ 32.93, 2.720 Å, I 8, hkl 4 2 0
2θ 36.17, 2.483 Å, I 5, hkl 4 2 2
2θ 38.45, 2.341 Å, I 6, hkl 3 3 3
2θ 42.01, 2.150 Å, I 100, hkl 4 4 0
2θ 44.70, 2.027 Å, I 3, hkl 6 0 0
2θ 47.26, 1.923 Å, I 3, hkl 6 2 0
2θ 58.26, 1.584 Å, I 4, hkl 7 3 1
2θ 60.93, 1.521 Å, I 14, hkl 8 0 0
2θ 63.01, 1.475 Å, I 3, hkl 6 4 4
2θ 76.77, 1.242 Å, I 25, hkl 8 4 4
2θ 81.92, 1.176 Å, I 4, hkl 7 7 3